No. 1
For TeRu4Rh2, a DFT-relaxed cell (PBE, Alexandria) gives the computed powder diffraction line list in this record (Cu Kα (λ = 1.5418 Å)).
Intensities are scaled so that the largest is 100.

a = 4.7995 Å, b = 4.7995 Å, c = 12.3242 Å
α = 90.00°, β = 90.00°, γ = 90.00°
Space group I4/mmm (No. 139)
Inequivalent atoms, fractional coordinates:
Te1 0.0000 0.0000 0.0000 (multiplicity 2)
Ru1 0.0000 0.0000 0.2067 (multiplicity 4)
Ru2 0.0000 0.5000 0.0000 (multiplicity 4)
Rh1 0.0000 0.0000 0.3958 (multiplicity 4)

The 8 most intense peaks (10 to 80 degrees two-theta), in order of falling intensity:
2θ = 37.48°, I = 100
2θ = 41.17°, I = 78
2θ = 56.88°, I = 60
2θ = 26.26°, I = 52
2θ = 14.37°, I = 42
2θ = 54.04°, I = 34
2θ = 30.06°, I = 27
2θ = 70.13°, I = 16

***

No. 2
For Te6RuRh, a DFT-relaxed cell (PBE, Alexandria) gives the computed powder diffraction line list in this record (Cu Kα (λ = 1.5418 Å)).
Intensities are scaled so that the largest is 100.

a = 6.5155 Å, b = 6.5879 Å, c = 6.6173 Å
α = 118.64°, β = 119.32°, γ = 90.93°
Space group P-1 (No. 2)
Inequivalent atoms, fractional coordinates:
Te1 0.0485 0.2746 0.3252 (multiplicity 2)
Te2 0.2677 0.4265 0.9951 (multiplicity 2)
Te3 0.4391 0.9378 0.6560 (multiplicity 2)
Ru1 0.0000 0.0000 0.5000 (multiplicity 1)
Rh1 0.5000 0.5000 0.5000 (multiplicity 1)

The 8 most intense peaks (10 to 80 degrees two-theta), in order of falling intensity:
2θ = 31.51°, I = 100
2θ = 30.98°, I = 85
2θ = 32.13°, I = 83
2θ = 32.24°, I = 75
2θ = 31.34°, I = 72
2θ = 33.19°, I = 65
2θ = 47.66°, I = 57
2θ = 31.98°, I = 56

***

No. 3
For Th3RuRh2, a DFT-relaxed cell (PBE, Alexandria) gives the computed powder diffraction line list in this record (Cu Kα (λ = 1.5418 Å)).
Intensities are scaled so that the largest is 100.

a = 8.1929 Å, b = 5.7789 Å, c = 12.2039 Å
α = 90.00°, β = 90.00°, γ = 90.00°
Space group Pnma (No. 62)
Inequivalent atoms, fractional coordinates:
Th1 0.1189 0.2500 0.0817 (multiplicity 4)
Th2 0.1251 0.2500 0.7494 (multiplicity 4)
Th3 0.1329 0.2500 0.4194 (multiplicity 4)
Ru1 0.1261 0.7500 0.0869 (multiplicity 4)
Rh1 0.1241 0.7500 0.4179 (multiplicity 4)
Rh2 0.1237 0.7500 0.7451 (multiplicity 4)

The 8 most intense peaks (10 to 80 degrees two-theta), in order of falling intensity:
2θ = 30.97°, I = 100
2θ = 44.36°, I = 50
2θ = 73.30°, I = 23
2θ = 54.95°, I = 13
2θ = 55.23°, I = 13
2θ = 44.22°, I = 13
2θ = 44.55°, I = 12
2θ = 64.55°, I = 12

***

No. 4
For V6RuRh5, a DFT-relaxed cell (PBE, Alexandria) gives the computed powder diffraction line list in this record (Cu Kα (λ = 1.5418 Å)).
Intensities are scaled so that the largest is 100.

a = 4.5468 Å, b = 5.5169 Å, c = 6.5986 Å
α = 90.00°, β = 94.48°, γ = 90.00°
Space group P2/m (No. 10)
Inequivalent atoms, fractional coordinates:
V1 0.0000 0.2484 0.0000 (multiplicity 2)
V2 0.3358 0.2481 0.6697 (multiplicity 4)
Ru1 0.5000 0.0000 0.0000 (multiplicity 1)
Rh1 0.1656 0.0000 0.3356 (multiplicity 2)
Rh2 0.1666 0.5000 0.3341 (multiplicity 2)
Rh3 0.5000 0.5000 0.0000 (multiplicity 1)

The 8 most intense peaks (10 to 80 degrees two-theta), in order of falling intensity:
2θ = 41.13°, I = 100
2θ = 41.22°, I = 99
2θ = 46.49°, I = 69
2θ = 71.20°, I = 37
2θ = 50.67°, I = 27
2θ = 24.71°, I = 24
2θ = 53.35°, I = 13
2θ = 32.36°, I = 12